Record 1
The following is a computed powder X-ray diffraction pattern of NdCu9Sn4. It was derived from a DFT-relaxed cell (PBE, the Materials Project), using λ = 1.5418 Å (Cu Kα).
Intensities are scaled so that the largest is 100.

Structural model:
a = 8.6356 Å, b = 8.6356 Å, c = 12.4361 Å
α = 90.00°, β = 90.00°, γ = 90.00°
Space group I4/mcm (No. 140)
Inequivalent atoms, fractional coordinates:
Nd 0.0000 0.0000 0.2500 x4
Cu 0.0000 0.5000 0.0000 x4
Cu 0.0556 0.1991 0.0000 x16
Cu 0.1090 0.3910 0.1737 x16
Sn 0.1851 0.3149 0.3727 x16

Principal peaks in the range 2θ from 15° to 90°, low angle first:
32.31°, d = 2.771 Å, rel. 36, (1 1 4); 35.58°, d = 2.523 Å, rel. 91, (2 0 4); 35.92°, d = 2.500 Å, rel. 85, (3 1 2); 43.27°, d = 2.091 Å, rel. 58, (2 1 5); 43.65°, d = 2.074 Å, rel. 88, (0 0 6); 43.83°, d = 2.065 Å, rel. 100, (4 1 1)

---

Record 2
The following is a computed powder X-ray diffraction pattern of YFe12. It was derived from a DFT-relaxed cell (PBE, the Materials Project), using λ = 1.5418 Å (Cu Kα).
Intensities are scaled so that the largest is 100.

Structural model:
a = 8.4683 Å, b = 8.4683 Å, c = 4.6947 Å
α = 90.00°, β = 90.00°, γ = 90.00°
Space group I4/mmm (No. 139)
Inequivalent atoms, fractional coordinates:
Y 0.0000 0.0000 0.0000 x2
Fe 0.0000 0.2265 0.5000 x8
Fe 0.0000 0.3578 0.0000 x8
Fe 0.2500 0.2500 0.2500 x8

Principal peaks in the range 2θ from 15° to 90°, low angle first:
37.17°, d = 2.419 Å, rel. 42, (3 0 1); 42.71°, d = 2.117 Å, rel. 70, (4 0 0); 43.06°, d = 2.100 Å, rel. 100, (3 2 1); 44.11°, d = 2.053 Å, rel. 75, (2 0 2); 48.05°, d = 1.894 Å, rel. 27, (4 2 0); 49.33°, d = 1.847 Å, rel. 51, (2 2 2)